Starting from DFT lattice parameters and positions (PBE), the powder X-ray diffraction pattern of CsAgOs was calculated for copper Kα.
Peak positions follow from Bragg's law for the DFT cell and can differ from measured ones.

Unit cell a=7.2648 b=7.2648 c=7.2648 alpha=90.00 beta=90.00 gamma=90.00
Space group F-43m (No. 216)
Inequivalent atoms, fractional coordinates:
1 Cs 0.0000 0.0000 0.0000
2 Ag 0.2500 0.2500 0.2500
3 Os 0.0000 0.0000 0.5000

Principal peaks in the range 10 to 90 degrees two-theta, low angle first:
2θ/deg, I_rel, hkl
21.18, 20, 1 1 1
24.51, 28, 2 0 0
34.93, 100, 2 2 0
41.21, 11, 3 1 1
43.14, 8, 2 2 2
50.23, 18, 4 0 0
56.66, 12, 4 2 0
62.65, 36, 4 2 2
73.78, 11, 4 4 0
84.31, 16, 6 2 0


Starting from DFT lattice parameters and positions (PBE), the powder X-ray diffraction pattern of Cs2AgOsS4 was calculated for copper Kα.
Peak positions follow from Bragg's law for the DFT cell and can differ from measured ones.

Unit cell a=7.0188 b=7.2505 c=11.1437 alpha=73.40 beta=74.24 gamma=70.09
Space group P-1 (No. 2)
Inequivalent atoms, fractional coordinates:
1 Cs 0.2330 0.2632 0.0957
2 Cs 0.2623 0.0121 0.6880
3 Ag 0.1335 0.5917 0.5723
4 Os 0.3700 0.6352 0.2695
5 S 0.2404 0.8649 0.3884
6 S 0.2522 0.7577 0.0903
7 S 0.2564 0.3723 0.3808
8 S 0.2872 0.4558 0.7692

Principal peaks in the range 10 to 90 degrees two-theta, low angle first:
2θ/deg, I_rel, hkl
19.03, 39, 1 1 2
23.39, 100, 1 -1 1
23.82, 74, 1 0 -2
24.99, 88, 1 2 1
27.19, 85, 2 1 2
27.55, 57, 2 0 0
30.26, 42, 1 2 -1
31.36, 37, 0 1 -3
32.48, 51, 1 1 4
32.97, 47, 0 2 3